1.
Diffraction record for TbTc2. The powder XRD pattern is computed, not measured: it uses a crystal structure in the Materials Project, relaxed with PBE and λ = 1.5418 Å (Cu Kα).
Neutral-atom scattering factors, no anomalous dispersion.

Top 12 peaks for 15 to 90 degrees two-theta, in order of falling intensity:
| 2θ/deg | I/Imax |
| --- | --- |
| 39.0 | 100.0 |
| 35.8 | 86.3 |
| 39.9 | 71.0 |
| 33.2 | 43.6 |
| 65.8 | 34.6 |
| 61.0 | 32.8 |
| 69.8 | 25.4 |
| 63.3 | 24.0 |
| 81.0 | 16.0 |
| 75.8 | 15.5 |
| 40.4 | 13.3 |
| 38.6 | 12.6 |

Structure:
```
TbTc2
1.0
5.390 0.000 0.000
-2.695 4.668 0.000
0.000 0.000 8.931
Tb Tc
4 8
Direct
0.333 0.667 0.063 Tb
0.333 0.667 0.437 Tb
0.667 0.333 0.563 Tb
0.667 0.333 0.937 Tb
0.000 0.000 0.000 Tc
0.000 0.000 0.500 Tc
0.171 0.342 0.750 Tc
0.171 0.829 0.750 Tc
0.342 0.171 0.250 Tc
0.658 0.829 0.750 Tc
0.829 0.171 0.250 Tc
0.829 0.658 0.250 Tc
```


2.
Diffraction record for Tb2Te3. The powder XRD pattern is computed, not measured: it uses a crystal structure in the Materials Project, relaxed with PBE and λ = 1.5418 Å (Cu Kα).
Neutral-atom scattering factors, no anomalous dispersion.

Top 12 peaks for 15 to 90 degrees two-theta, in order of falling intensity:
| 2θ/deg | I/Imax |
| --- | --- |
| 28.7 | 100.0 |
| 41.2 | 75.5 |
| 28.9 | 49.4 |
| 50.7 | 20.6 |
| 51.2 | 20.0 |
| 40.8 | 19.4 |
| 41.3 | 18.7 |
| 67.6 | 17.8 |
| 67.4 | 17.4 |
| 74.5 | 13.0 |
| 75.2 | 12.9 |
| 59.4 | 12.7 |

Structure:
```
Tb2Te3
1.0
0.000 6.188 13.278
4.370 0.000 13.278
4.370 6.188 0.000
Tb Te
8 12
Direct
0.042 0.042 0.208 Tb
0.125 0.125 0.625 Tb
0.208 0.208 0.042 Tb
0.375 0.375 0.875 Tb
0.625 0.625 0.125 Tb
0.792 0.792 0.958 Tb
0.875 0.875 0.375 Tb
0.958 0.958 0.792 Tb
0.044 0.541 0.206 Te
0.126 0.624 0.624 Te
0.206 0.709 0.044 Te
0.291 0.794 0.459 Te
0.376 0.874 0.874 Te
0.459 0.956 0.291 Te
0.541 0.044 0.709 Te
0.624 0.126 0.126 Te
0.709 0.206 0.541 Te
0.794 0.291 0.956 Te
0.874 0.376 0.376 Te
0.956 0.459 0.794 Te
```


3.
Diffraction record for TbTe2. The powder XRD pattern is computed, not measured: it uses a crystal structure in the Materials Project, relaxed with PBE and λ = 1.5418 Å (Cu Kα).
Neutral-atom scattering factors, no anomalous dispersion.

Top 12 peaks for 15 to 90 degrees two-theta, in order of falling intensity:
| 2θ/deg | I/Imax |
| --- | --- |
| 30.0 | 100.0 |
| 34.8 | 73.0 |
| 40.5 | 50.1 |
| 36.3 | 42.5 |
| 28.3 | 30.5 |
| 55.5 | 25.0 |
| 67.3 | 24.7 |
| 51.2 | 24.0 |
| 70.0 | 19.0 |
| 58.6 | 16.8 |
| 22.3 | 12.5 |
| 55.4 | 11.8 |

Structure:
```
TbTe2
1.0
4.455 0.000 0.000
0.000 4.455 0.000
0.000 0.000 8.942
Tb Te
2 4
Direct
0.250 0.250 0.228 Tb
0.750 0.750 0.772 Tb
0.250 0.250 0.872 Te
0.250 0.750 0.500 Te
0.750 0.250 0.500 Te
0.750 0.750 0.128 Te
```